Diffraction record for Tb3Sm7Mg. The X-ray powder pattern is calculated, not measured: it uses DFT lattice parameters and positions (PBE) and Cu Kα (weighted mean of Kα1 and Kα2).
Intensities are scaled so that the largest is 1000.

Cell lengths 7.0803, 7.0803, 8.6462 Å; angles 90.00, 90.00, 120.00 degrees
Space group P3m1 (No. 156)
Unique sites:
Tb: 0.1680 0.3360 0.0000 x3
Sm: 0.0049 0.5024 0.6654 x3
Sm: 0.3328 0.1664 0.3328 x3
Sm: 0.3333 0.6667 0.3325 x1
Mg: 0.0000 0.0000 0.6643 x1

Main lines, sorted by position (2θ = 10–90°):
- 2θ = 17.73°, intensity 117, (1 0 1)
- 2θ = 25.18°, intensity 92, (0 1 2)
- 2θ = 30.97°, intensity 1000, (0 2 1)
- 2θ = 35.91°, intensity 506, (2 0 2)
- 2θ = 51.64°, intensity 178, (2 2 0)
- 2θ = 51.75°, intensity 178, (0 2 4)
- 2θ = 61.46°, intensity 317, (4 0 1)
- 2θ = 61.57°, intensity 106, (2 0 5)